No. 1
For Fe4OF7, the GGA+U geometry in the Materials Project gives the computed PXRD pattern in this record (a wavelength of 1.5418 Å).
No peak broadening, texture or thermal motion is included.

The 10 most intense peaks (10° ≤ 2θ ≤ 90°), in order of rising 2θ:
d = 3.531 Å, rel. 100, (-1 1 2)
d = 3.450 Å, rel. 95, (1 -1 2)
d = 2.592 Å, rel. 96, (1 1 1)
d = 2.284 Å, rel. 19, (2 0 1)
d = 1.801 Å, rel. 31, (0 2 3)
d = 1.796 Å, rel. 31, (2 0 -5)
d = 1.777 Å, rel. 40, (0 2 -5)
d = 1.765 Å, rel. 23, (-2 2 4)
d = 1.725 Å, rel. 19, (2 -2 4)
d = 1.448 Å, rel. 31, (2 -4 1)

Crystal structure
```
data_Fe4OF7
_chemical_formula_sum 'Fe8 O2 F14'
_cell_length_a 5.7907
_cell_length_b 5.8028
_cell_length_c 10.3373
_cell_angle_alpha 97.80
_cell_angle_beta 99.93
_cell_angle_gamma 116.59
_space_group_name_H-M_alt 'P 1'
_space_group_IT_number 1
loop_
_space_group_symop_operation_xyz
'x,y,z'
loop_
_atom_site_label
_atom_site_fract_x
_atom_site_fract_y
_atom_site_fract_z
Fe1 0.0000 0.0000 0.0000
Fe2 0.0837 0.5996 0.2408
Fe3 0.2684 0.2424 0.5092
Fe4 0.3788 0.8961 0.7405
Fe5 0.5108 0.5008 0.0035
Fe6 0.6432 0.1596 0.2419
Fe7 0.7354 0.7549 0.4897
Fe8 0.8497 0.3639 0.7413
O1 0.4732 0.1723 0.6436
O2 0.7130 0.4284 0.1396
F1 0.0390 0.8450 0.3919
F2 0.0405 0.3218 0.3579
F3 0.1905 0.4032 0.0941
F4 0.2201 0.9285 0.1467
F5 0.2660 0.5822 0.8413
F6 0.2870 0.1000 0.8917
F7 0.4445 0.6538 0.5958
F8 0.5119 0.8295 0.3396
F9 0.5507 0.3538 0.3930
F10 0.6931 0.9071 0.0962
F11 0.7807 0.0746 0.8534
F12 0.7989 0.6057 0.8916
F13 0.9432 0.1515 0.5959
F14 0.9621 0.6795 0.6414
```

No. 2
For Fe4O7F, the GGA+U geometry in the Materials Project gives the computed PXRD pattern in this record (a wavelength of 1.5418 Å).
No peak broadening, texture or thermal motion is included.

The 10 most intense peaks (10° ≤ 2θ ≤ 90°), in order of rising 2θ:
d = 3.281 Å, rel. 100, (0 1 2)
d = 2.523 Å, rel. 39, (2 0 -2)
d = 2.511 Å, rel. 13, (2 0 2)
d = 2.220 Å, rel. 7, (2 1 -2)
d = 1.711 Å, rel. 29, (2 1 -4)
d = 1.705 Å, rel. 14, (2 2 2)
d = 1.701 Å, rel. 14, (2 1 4)
d = 1.640 Å, rel. 16, (0 2 4)
d = 1.501 Å, rel. 8, (4 0 0)
d = 1.377 Å, rel. 15, (2 0 -6)

Crystal structure
```
data_Fe4O7F
_chemical_formula_sum 'Fe8 O14 F2'
_cell_length_a 6.0032
_cell_length_b 4.6471
_cell_length_c 9.2662
_cell_angle_alpha 90.00
_cell_angle_beta 90.40
_cell_angle_gamma 90.00
_space_group_name_H-M_alt 'P 1 21 1'
_space_group_IT_number 4
loop_
_space_group_symop_operation_xyz
'x,y,z'
'-x,y+1/2,-z'
loop_
_atom_site_label
_atom_site_fract_x
_atom_site_fract_y
_atom_site_fract_z
Fe1 0.1179 0.0000 0.3793
Fe2 0.1229 0.0209 0.8713
Fe3 0.3684 0.5053 0.6182
Fe4 0.3742 0.5432 0.1178
O1 0.1229 0.6972 0.7196
O2 0.1259 0.3407 0.0298
O3 0.1271 0.3022 0.5229
O4 0.1280 0.7136 0.2217
O5 0.3744 0.8197 0.4695
O6 0.3754 0.8436 0.9673
O7 0.3757 0.2123 0.7787
F1 0.3778 0.2131 0.2755
```

- What is the formula in the first record?
  Fe4OF7

Copy entry 2 word for word.
For Fe4O7F, the GGA+U geometry in the Materials Project gives the computed PXRD pattern in this record (a wavelength of 1.5418 Å).
No peak broadening, texture or thermal motion is included.

The 10 most intense peaks (10° ≤ 2θ ≤ 90°), in order of rising 2θ:
d = 3.281 Å, rel. 100, (0 1 2)
d = 2.523 Å, rel. 39, (2 0 -2)
d = 2.511 Å, rel. 13, (2 0 2)
d = 2.220 Å, rel. 7, (2 1 -2)
d = 1.711 Å, rel. 29, (2 1 -4)
d = 1.705 Å, rel. 14, (2 2 2)
d = 1.701 Å, rel. 14, (2 1 4)
d = 1.640 Å, rel. 16, (0 2 4)
d = 1.501 Å, rel. 8, (4 0 0)
d = 1.377 Å, rel. 15, (2 0 -6)

Crystal structure
```
data_Fe4O7F
_chemical_formula_sum 'Fe8 O14 F2'
_cell_length_a 6.0032
_cell_length_b 4.6471
_cell_length_c 9.2662
_cell_angle_alpha 90.00
_cell_angle_beta 90.40
_cell_angle_gamma 90.00
_space_group_name_H-M_alt 'P 1 21 1'
_space_group_IT_number 4
loop_
_space_group_symop_operation_xyz
'x,y,z'
'-x,y+1/2,-z'
loop_
_atom_site_label
_atom_site_fract_x
_atom_site_fract_y
_atom_site_fract_z
Fe1 0.1179 0.0000 0.3793
Fe2 0.1229 0.0209 0.8713
Fe3 0.3684 0.5053 0.6182
Fe4 0.3742 0.5432 0.1178
O1 0.1229 0.6972 0.7196
O2 0.1259 0.3407 0.0298
O3 0.1271 0.3022 0.5229
O4 0.1280 0.7136 0.2217
O5 0.3744 0.8197 0.4695
O6 0.3754 0.8436 0.9673
O7 0.3757 0.2123 0.7787
F1 0.3778 0.2131 0.2755
```